No. 1
Computed XRD peak list
Compound: O
Radiation: Cu Kα X-rays
Structure: the PBE geometry in the Materials Project
No peak broadening, texture or thermal motion is included.

Cell and atoms:
```
O
1.0
5.160 0.000 0.000
-0.024 5.240 0.000
-0.051 -0.024 5.890
O
10
Direct
0.000 0.000 0.000
0.009 0.311 0.977
0.265 0.432 0.465
0.324 0.347 0.959
0.385 0.577 0.963
0.493 0.359 0.457
0.510 0.048 0.468
0.773 0.921 0.988
0.826 0.029 0.495
0.899 0.804 0.491
```

The 10 most intense peaks (2θ from 10° to 80°), by angle:
| index | Position (°2θ) | I/Imax |
| --- | --- | --- |
| 0 1 0 | 16.9 | 15 |
| 1 -1 0 | 24.2 | 50 |
| 1 1 0 | 24.3 | 50 |
| -1 1 1 | 28.6 | 31 |
| 0 0 2 | 30.4 | 100 |
| 0 2 0 | 34.2 | 11 |
| 2 0 0 | 34.8 | 11 |
| 1 1 -2 | 39.0 | 13 |
| -1 1 2 | 39.1 | 11 |
| 1 -1 2 | 39.2 | 11 |

No. 2
Computed XRD peak list
Compound: O
Radiation: Cu Kα X-rays
Structure: the PBE geometry in the Materials Project
No peak broadening, texture or thermal motion is included.

Cell and atoms:
```
O
1.0
8.755 0.000 0.000
0.000 6.220 0.000
-1.908 0.000 3.953
O
16
Direct
0.030 0.244 0.155
0.030 0.756 0.155
0.148 0.000 0.867
0.208 0.000 0.178
0.292 0.500 0.822
0.352 0.500 0.133
0.470 0.256 0.845
0.470 0.744 0.845
0.530 0.256 0.155
0.530 0.744 0.155
0.648 0.500 0.867
0.708 0.500 0.178
0.792 0.000 0.822
0.852 0.000 0.133
0.970 0.244 0.845
0.970 0.756 0.845
```

The 10 most intense peaks (2θ from 10° to 80°), by angle:
| index | Position (°2θ) | I/Imax |
| --- | --- | --- |
| 1 1 0 | 18.2 | 55 |
| 0 0 1 | 22.5 | 100 |
| 2 0 -1 | 24.0 | 11 |
| 1 1 -1 | 24.9 | 20 |
| 3 1 -1 | 34.9 | 31 |
| 2 2 0 | 36.8 | 76 |
| 3 1 0 | 37.1 | 20 |
| 2 2 -1 | 37.7 | 47 |
| 4 2 -1 | 51.1 | 18 |
| 0 4 0 | 59.4 | 11 |

No. 3
Computed XRD peak list
Compound: O
Radiation: Cu Kα X-rays
Structure: the PBE geometry in the Materials Project
No peak broadening, texture or thermal motion is included.

Cell and atoms:
```
O
1.0
6.814 0.000 0.000
0.000 8.461 0.000
-1.350 0.000 3.127
O
16
Direct
0.056 0.169 0.147
0.056 0.831 0.647
0.236 0.482 0.672
0.236 0.518 0.172
0.264 0.018 0.328
0.264 0.982 0.828
0.444 0.331 0.853
0.444 0.669 0.353
0.556 0.331 0.647
0.556 0.669 0.147
0.736 0.018 0.172
0.736 0.982 0.672
0.764 0.482 0.828
0.764 0.518 0.328
0.944 0.169 0.353
0.944 0.831 0.853
```

The 10 most intense peaks (2θ from 10° to 80°), by angle:
| index | Position (°2θ) | I/Imax |
| --- | --- | --- |
| 1 1 0 | 17.6 | 37 |
| 0 2 0 | 21.0 | 18 |
| 1 1 -1 | 28.4 | 21 |
| 1 3 0 | 34.9 | 43 |
| 2 2 0 | 35.7 | 100 |
| 1 1 1 | 38.4 | 18 |
| 2 4 0 | 52.2 | 15 |
| 4 0 0 | 59.1 | 11 |
| 0 6 0 | 66.3 | 6 |
| 2 4 1 | 66.7 | 5 |